1.
Simulated XRD peak list
Compound: NiTe2Au
Radiation: Cu Kα, 1.54184 Å
Structure: a cell relaxed with PBE
No peak broadening, texture or thermal motion is included.

Top 10 peaks for 2θ from 10° to 90°, by angle:
| 2θ/deg | intensity |
| --- | --- |
| 14.86 | 632 |
| 24.82 | 796 |
| 30.41 | 783 |
| 34.88 | 900 |
| 41.32 | 342 |
| 43.95 | 1000 |
| 45.67 | 189 |
| 48.38 | 216 |
| 48.80 | 265 |
| 58.22 | 265 |

Crystal structure
```
NiTe2Au
1.0
3.762 0.000 0.000
0.000 4.370 0.000
0.000 0.000 11.919
Ni Te Au
2 4 2
direct
0.000 0.000 0.000
0.500 0.500 0.500
0.000 0.500 0.354
0.000 0.500 0.646
0.500 0.000 0.146
0.500 0.000 0.854
0.000 0.000 0.500
0.500 0.500 0.000
```

=====

2.
Simulated XRD peak list
Compound: SeClF
Radiation: Cu Kα, 1.54184 Å
Structure: a cell relaxed with PBE
No peak broadening, texture or thermal motion is included.

Top 10 peaks for 2θ from 10° to 90°, by angle:
| 2θ/deg | intensity |
| --- | --- |
| 12.21 | 1000 |
| 15.83 | 367 |
| 17.76 | 518 |
| 22.52 | 474 |
| 24.23 | 185 |
| 26.18 | 179 |
| 26.35 | 497 |
| 31.38 | 176 |
| 32.32 | 280 |
| 43.78 | 159 |

Crystal structure
```
SeClF
1.0
4.269 0.000 0.000
-1.940 5.739 0.000
-0.187 -1.637 7.249
Se Cl F
2 2 2
direct
0.000 0.000 0.000
0.470 0.299 0.185
0.150 0.697 0.855
0.452 0.225 0.456
0.246 0.197 0.841
0.859 0.843 0.188
```

=====

> What is the formula in the first record?

NiTe2Au